Diffraction record for Na2CrO4. The X-ray powder pattern is calculated, not measured: it uses a crystal structure in Alexandria, relaxed with GGA+U and Cu Kα (weighted mean of Kα1 and Kα2).
Peak positions follow from Bragg's law for the DFT cell and can differ from measured ones.

Most intense lines, 5 to 70 degrees two-theta, most intense first:
two_theta, intensity
18.28, 100.0
20.53, 84.5
25.87, 54.3
19.02, 46.1
24.60, 45.8
17.00, 38.2
10.24, 32.8
48.70, 27.5
31.33, 25.3
19.27, 25.0
34.36, 24.1
17.19, 22.1

Structural model:
a b c (Å): 5.713 5.744 8.908
angles (deg): 76.43 81.05 66.19
Space group P-1 (No. 2)
Symmetry-distinct sites (fractional):
Na: 0.233 0.429 0.335 x2
Na: 0.264 0.772 0.948 x2
Cr: 0.334 0.258 0.764 x2
O: 0.078 0.242 0.879 x2
O: 0.232 0.430 0.593 x2
O: 0.466 0.042 0.248 x2
O: 0.480 0.405 0.838 x2